1.
Diffraction record for PrHo2TmAu4. The powder XRD pattern is calculated, not measured: it uses a structure optimized by DFT (GGA-PBE) and CuKα.

Cell and atoms:
```
data_PrHo2TmAu4
_symmetry_space_group_name_H-M 'P 1'
_symmetry_Int_Tables_number 1
_cell_length_a 9.0123
_cell_length_b 9.0123
_cell_length_c 9.0123
_cell_angle_alpha 32.72
_cell_angle_beta 32.72
_cell_angle_gamma 32.72
loop_
_symmetry_equiv_pos_as_xyz
'x,y,z'
loop_
_atom_site_label
_atom_site_type_symbol
_atom_site_fract_x
_atom_site_fract_y
_atom_site_fract_z
_atom_site_occupancy
Pr1 Pr 0.0000 0.0000 0.0000 1
Ho1 Ho 0.2479 0.2479 0.2479 1
Ho2 Ho 0.7521 0.7521 0.7521 1
Tm1 Tm 0.5000 0.5000 0.5000 1
Au1 Au 0.1288 0.1288 0.1288 1
Au2 Au 0.3833 0.3833 0.3833 1
Au3 Au 0.6167 0.6167 0.6167 1
Au4 Au 0.8712 0.8712 0.8712 1
```

Principal peaks in the range 2θ from 5° to 70°, most intense first:
2theta, I/Imax
35.4, 100
34.7, 99
63.1, 36
50.4, 35
63.5, 19
61.8, 16

=====

2.
Diffraction record for RhPb3. The powder XRD pattern is calculated, not measured: it uses a structure optimized by DFT (GGA-PBE) and CuKα.

Cell and atoms:
```
data_RhPb3
_symmetry_space_group_name_H-M 'P 1'
_symmetry_Int_Tables_number 1
_cell_length_a 3.5599
_cell_length_b 6.4656
_cell_length_c 9.1622
_cell_angle_alpha 90.00
_cell_angle_beta 90.00
_cell_angle_gamma 90.00
loop_
_symmetry_equiv_pos_as_xyz
'x,y,z'
loop_
_atom_site_label
_atom_site_type_symbol
_atom_site_fract_x
_atom_site_fract_y
_atom_site_fract_z
_atom_site_occupancy
Rh1 Rh 0.2500 0.2500 0.1819 1
Rh2 Rh 0.7500 0.7500 0.8181 1
Pb1 Pb 0.2500 0.0029 0.6606 1
Pb2 Pb 0.2500 0.4971 0.6606 1
Pb3 Pb 0.2500 0.7500 0.0544 1
Pb4 Pb 0.7500 0.2500 0.9456 1
Pb5 Pb 0.7500 0.5029 0.3394 1
Pb6 Pb 0.7500 0.9971 0.3394 1
```

Principal peaks in the range 2θ from 5° to 70°, most intense first:
2theta, I/Imax
29.3, 100
31.8, 93
38.9, 87
60.2, 27
34.8, 24
40.6, 23

=====

3.
Diffraction record for PmY2Hg5. The powder XRD pattern is calculated, not measured: it uses a structure optimized by DFT (GGA-PBE) and CuKα.

Cell and atoms:
```
data_PmY2Hg5
_symmetry_space_group_name_H-M 'P 1'
_symmetry_Int_Tables_number 1
_cell_length_a 5.2494
_cell_length_b 5.2494
_cell_length_c 14.6927
_cell_angle_alpha 90.00
_cell_angle_beta 90.00
_cell_angle_gamma 90.00
loop_
_symmetry_equiv_pos_as_xyz
'x,y,z'
loop_
_atom_site_label
_atom_site_type_symbol
_atom_site_fract_x
_atom_site_fract_y
_atom_site_fract_z
_atom_site_occupancy
Pm1 Pm 0.0000 0.0000 0.0000 1
Pm2 Pm 0.5000 0.5000 0.5000 1
Y1 Y 0.0000 0.0000 0.2664 1
Y2 Y 0.0000 0.0000 0.7336 1
Y3 Y 0.5000 0.5000 0.2336 1
Y4 Y 0.5000 0.5000 0.7664 1
Hg1 Hg 0.0000 0.0000 0.5000 1
Hg2 Hg 0.0000 0.5000 0.1267 1
Hg3 Hg 0.0000 0.5000 0.3733 1
Hg4 Hg 0.0000 0.5000 0.6267 1
Hg5 Hg 0.0000 0.5000 0.8733 1
Hg6 Hg 0.5000 0.0000 0.1267 1
Hg7 Hg 0.5000 0.0000 0.3733 1
Hg8 Hg 0.5000 0.0000 0.6267 1
Hg9 Hg 0.5000 0.0000 0.8733 1
Hg10 Hg 0.5000 0.5000 0.0000 1
```

Principal peaks in the range 2θ from 5° to 70°, most intense first:
2theta, I/Imax
34.3, 100
34.2, 52
61.3, 38
49.1, 19
61.6, 18
49.6, 9

=====

4.
Diffraction record for PaAl11Os. The powder XRD pattern is calculated, not measured: it uses a structure optimized by DFT (GGA-PBE) and CuKα.

Cell and atoms:
```
data_PaAl11Os
_symmetry_space_group_name_H-M 'P 1'
_symmetry_Int_Tables_number 1
_cell_length_a 6.8313
_cell_length_b 6.8313
_cell_length_c 7.0857
_cell_angle_alpha 97.98
_cell_angle_beta 97.98
_cell_angle_gamma 135.05
loop_
_symmetry_equiv_pos_as_xyz
'x,y,z'
loop_
_atom_site_label
_atom_site_type_symbol
_atom_site_fract_x
_atom_site_fract_y
_atom_site_fract_z
_atom_site_occupancy
Pa1 Pa 0.0000 0.0000 0.0000 1
Al1 Al 0.0000 0.0000 0.5000 1
Al2 Al 0.0000 0.5000 0.0000 1
Al3 Al 0.0163 0.3628 0.3573 1
Al4 Al 0.2867 0.4990 0.7808 1
Al5 Al 0.3628 0.0163 0.3573 1
Al6 Al 0.4990 0.2867 0.7808 1
Al7 Al 0.5000 0.0000 0.0000 1
Al8 Al 0.5010 0.7133 0.2192 1
Al9 Al 0.6372 0.9837 0.6427 1
Al10 Al 0.7133 0.5010 0.2192 1
Al11 Al 0.9837 0.6372 0.6427 1
Os1 Os 0.5000 0.5000 0.5000 1
```

Principal peaks in the range 2θ from 5° to 70°, most intense first:
2theta, I/Imax
14.0, 100
19.6, 94
27.4, 51
39.5, 49
28.1, 47
34.1, 45

=====

5.
Diffraction record for Sr2HfThN4. The powder XRD pattern is calculated, not measured: it uses a structure optimized by DFT (GGA-PBE) and CuKα.

Cell and atoms:
```
data_Sr2HfThN4
_symmetry_space_group_name_H-M 'P 1'
_symmetry_Int_Tables_number 1
_cell_length_a 6.1537
_cell_length_b 3.5552
_cell_length_c 6.3407
_cell_angle_alpha 90.00
_cell_angle_beta 108.75
_cell_angle_gamma 90.00
loop_
_symmetry_equiv_pos_as_xyz
'x,y,z'
loop_
_atom_site_label
_atom_site_type_symbol
_atom_site_fract_x
_atom_site_fract_y
_atom_site_fract_z
_atom_site_occupancy
Sr1 Sr 0.0000 0.0000 0.0000 1
Sr2 Sr 0.5000 0.5000 0.0000 1
Hf1 Hf 0.0000 0.5000 0.5000 1
Th1 Th 0.5000 0.0000 0.5000 1
N1 N 0.2211 0.0000 0.7031 1
N2 N 0.2430 0.5000 0.2970 1
N3 N 0.7570 0.5000 0.7030 1
N4 N 0.7789 0.0000 0.2969 1
```

Principal peaks in the range 2θ from 5° to 70°, most intense first:
2theta, I/Imax
30.7, 100
35.3, 100
14.8, 39
29.8, 37
50.2, 35
51.4, 34

=====

6.
Diffraction record for Ta2Nb7Mo2. The powder XRD pattern is calculated, not measured: it uses a structure optimized by DFT (GGA-PBE) and CuKα.

Cell and atoms:
```
data_Ta2Nb7Mo2
_symmetry_space_group_name_H-M 'P 1'
_symmetry_Int_Tables_number 1
_cell_length_a 5.3903
_cell_length_b 5.3903
_cell_length_c 7.8488
_cell_angle_alpha 90.13
_cell_angle_beta 90.13
_cell_angle_gamma 115.86
loop_
_symmetry_equiv_pos_as_xyz
'x,y,z'
loop_
_atom_site_label
_atom_site_type_symbol
_atom_site_fract_x
_atom_site_fract_y
_atom_site_fract_z
_atom_site_occupancy
Ta1 Ta 0.2428 0.7572 0.0000 1
Ta2 Ta 0.7572 0.2428 0.0000 1
Nb1 Nb 0.0000 0.0000 0.5000 1
Nb2 Nb 0.1161 0.5764 0.3354 1
Nb3 Nb 0.3292 0.3292 0.8238 1
Nb4 Nb 0.4236 0.8839 0.6646 1
Nb5 Nb 0.5764 0.1161 0.3354 1
Nb6 Nb 0.6708 0.6708 0.1762 1
Nb7 Nb 0.8839 0.4236 0.6646 1
Mo1 Mo 0.1642 0.1642 0.1659 1
Mo2 Mo 0.8358 0.8358 0.8341 1
```

Principal peaks in the range 2θ from 5° to 70°, most intense first:
2theta, I/Imax
38.9, 100
39.7, 63
39.5, 30
11.3, 26
56.6, 20
69.9, 11

=====

7.
Diffraction record for TaTi5Ge6. The powder XRD pattern is calculated, not measured: it uses a structure optimized by DFT (GGA-PBE) and CuKα.

Cell and atoms:
```
data_TaTi5Ge6
_symmetry_space_group_name_H-M 'P 1'
_symmetry_Int_Tables_number 1
_cell_length_a 6.3657
_cell_length_b 6.3657
_cell_length_c 6.3981
_cell_angle_alpha 99.57
_cell_angle_beta 99.57
_cell_angle_gamma 120.35
loop_
_symmetry_equiv_pos_as_xyz
'x,y,z'
loop_
_atom_site_label
_atom_site_type_symbol
_atom_site_fract_x
_atom_site_fract_y
_atom_site_fract_z
_atom_site_occupancy
Ta1 Ta 0.0000 0.0000 0.0000 1
Ti1 Ti 0.1655 0.8345 0.5000 1
Ti2 Ti 0.3330 0.6670 0.0000 1
Ti3 Ti 0.5000 0.5000 0.5000 1
Ti4 Ti 0.6670 0.3330 0.0000 1
Ti5 Ti 0.8345 0.1655 0.5000 1
Ge1 Ge 0.0843 0.4210 0.2524 1
Ge2 Ge 0.2533 0.2533 0.7489 1
Ge3 Ge 0.4210 0.0843 0.2524 1
Ge4 Ge 0.5790 0.9157 0.7476 1
Ge5 Ge 0.7467 0.7467 0.2511 1
Ge6 Ge 0.9157 0.5790 0.7476 1
```

Principal peaks in the range 2θ from 5° to 70°, most intense first:
2theta, I/Imax
34.5, 100
49.4, 23
49.8, 23
61.8, 12
49.5, 12
49.7, 12

=====

8.
Diffraction record for NaPSe2O8. The powder XRD pattern is calculated, not measured: it uses a structure optimized by DFT (GGA-PBE) and CuKα.

Cell and atoms:
```
data_NaPSe2O8
_symmetry_space_group_name_H-M 'P 1'
_symmetry_Int_Tables_number 1
_cell_length_a 8.9678
_cell_length_b 8.9678
_cell_length_c 8.9678
_cell_angle_alpha 32.26
_cell_angle_beta 32.26
_cell_angle_gamma 32.26
loop_
_symmetry_equiv_pos_as_xyz
'x,y,z'
loop_
_atom_site_label
_atom_site_type_symbol
_atom_site_fract_x
_atom_site_fract_y
_atom_site_fract_z
_atom_site_occupancy
Na1 Na 0.0000 0.0000 0.0000 1
P1 P 0.5000 0.5000 0.5000 1
Se1 Se 0.2418 0.2418 0.2418 1
Se2 Se 0.7582 0.7582 0.7582 1
O1 O 0.1195 0.4816 0.7402 1
O2 O 0.2598 0.5184 0.8805 1
O3 O 0.3067 0.3067 0.3067 1
O4 O 0.4816 0.7402 0.1195 1
O5 O 0.5184 0.8805 0.2598 1
O6 O 0.6933 0.6933 0.6933 1
O7 O 0.7402 0.1195 0.4816 1
O8 O 0.8805 0.2598 0.5184 1
```

Principal peaks in the range 2θ from 5° to 70°, most intense first:
2theta, I/Imax
24.9, 100
21.7, 44
36.0, 33
57.0, 21
35.0, 19
44.3, 19